Structure and computed powder diffraction line list of LiIn2Au3 (a crystal structure in Alexandria, relaxed with PBE; λ = 1.5418 Å (Cu Kα)).

Cell and atoms:
Cell: 6.6767 6.6767 5.5894 Å, 96.42 96.42 94.86°
Element x y z (fractional)
Li 0.0661 0.9339 0.7500
Li 0.9339 0.0661 0.2500
In 0.0815 0.5948 0.2828
In 0.4052 0.9185 0.2172
In 0.5948 0.0815 0.7828
In 0.9185 0.4052 0.7172
Au 0.2538 0.2831 0.0033
Au 0.2831 0.2538 0.5033
Au 0.3353 0.6647 0.7500
Au 0.6647 0.3353 0.2500
Au 0.7169 0.7462 0.4967
Au 0.7462 0.7169 0.9967

Main lines, low angle first (5° ≤ 2θ ≤ 70°):
2θ 13.41, intensity 43
2θ 19.93, intensity 41
2θ 27.01, intensity 64
2θ 33.09, intensity 56
2θ 36.55, intensity 27
2θ 37.40, intensity 100
2θ 37.83, intensity 26
2θ 39.96, intensity 38
2θ 41.96, intensity 57
2θ 68.07, intensity 28